This entry pairs a crystal structure of Tl3InBr7 with its simulated powder X-ray diffraction pattern. Radiation: copper Kα. Structure: a crystal structure in Alexandria, relaxed with PBE.

Top 12 peaks for 10 to 80 degrees two-theta, most intense first:
| hkl | d [Å] | Position (°2θ) | I/Imax |
| --- | --- | --- | --- |
| 0 2 1 | 4.693 | 18.91 | 100.0 |
| 0 2 4 | 2.656 | 33.74 | 40.2 |
| 1 2 2 | 3.263 | 27.33 | 40.1 |
| 2 2 0 | 2.924 | 30.57 | 36.0 |
| 2 3 2 | 2.178 | 41.46 | 22.0 |
| 2 0 5 | 2.239 | 40.28 | 19.5 |
| 0 3 3 | 2.622 | 34.20 | 18.0 |
| 3 3 0 | 1.951 | 46.56 | 16.8 |
| 1 0 1 | 7.865 | 11.25 | 15.5 |
| 0 1 2 | 5.313 | 16.69 | 15.2 |
| 5 0 2 | 1.927 | 47.17 | 13.8 |
| 2 2 3 | 2.392 | 37.60 | 12.2 |

Structural model:
Lattice parameters (Å, degrees): 11.6963 11.6963 12.4803 90.00 90.00 120.00
Space group R3m (No. 160, hexagonal axes)
Symmetry-distinct sites (fractional):
Tl1 0.1903 0.3806 0.0000 x9
In1 0.0000 0.0000 0.6929 x3
Br1 0.0000 0.0000 0.4859 x3
Br2 0.0792 0.5396 0.8931 x9
Br3 0.0938 0.5469 0.4222 x9



This entry pairs a crystal structure of TlInBr with its simulated powder X-ray diffraction pattern. Radiation: copper Kα. Structure: a crystal structure in Alexandria, relaxed with PBE.

Top 12 peaks for 10 to 80 degrees two-theta, most intense first:
| hkl | d [Å] | Position (°2θ) | I/Imax |
| --- | --- | --- | --- |
| 1 1 3 | 2.814 | 31.80 | 100.0 |
| 0 2 0 | 3.201 | 27.87 | 35.8 |
| 1 3 3 | 1.764 | 51.84 | 25.2 |
| 0 2 6 | 1.955 | 46.44 | 17.3 |
| 0 0 6 | 2.470 | 36.38 | 16.5 |
| 1 1 9 | 1.484 | 62.61 | 13.5 |
| 1 1 1 | 3.336 | 26.72 | 13.1 |
| 2 2 0 | 1.712 | 53.53 | 11.6 |
| 2 2 6 | 1.407 | 66.45 | 11.3 |
| 2 0 0 | 2.026 | 44.73 | 9.9 |
| 0 0 2 | 7.409 | 11.94 | 9.5 |
| 3 1 3 | 1.277 | 74.29 | 8.6 |

Structural model:
Lattice parameters (Å, degrees): 4.052 6.402 14.819 90.00 90.00 90.00
Space group Fmm2 (No. 42)
Symmetry-distinct sites (fractional):
Tl1 0.000 0.000 0.000 x4
In1 0.000 0.000 0.680 x4
Br1 0.000 0.000 0.329 x4



This entry pairs a crystal structure of TlInBr5 with its simulated powder X-ray diffraction pattern. Radiation: copper Kα. Structure: a crystal structure in Alexandria, relaxed with PBE.

Top 12 peaks for 10 to 80 degrees two-theta, most intense first:
| hkl | d [Å] | Position (°2θ) | I/Imax |
| --- | --- | --- | --- |
| 1 1 -2 | 4.865 | 18.24 | 100.0 |
| 2 0 0 | 5.029 | 17.63 | 85.6 |
| 1 3 0 | 3.393 | 26.27 | 49.5 |
| 0 2 0 | 5.404 | 16.40 | 44.6 |
| 2 0 -4 | 2.724 | 32.88 | 37.0 |
| 0 4 2 | 2.354 | 38.24 | 29.0 |
| 4 0 0 | 2.515 | 35.70 | 28.9 |
| 2 2 -1 | 3.921 | 22.68 | 27.4 |
| 3 3 0 | 2.454 | 36.61 | 26.6 |
| 3 1 0 | 3.202 | 27.86 | 22.9 |
| 1 3 -2 | 3.005 | 29.73 | 22.1 |
| 2 2 -4 | 2.432 | 36.96 | 21.9 |

Structural model:
Lattice parameters (Å, degrees): 11.412 10.809 10.896 90.00 118.19 90.00
Space group C2/c (No. 15)
Symmetry-distinct sites (fractional):
Tl1 0.000 0.000 0.000 x4
In1 0.000 0.409 0.250 x4
Br1 0.000 0.051 0.750 x4
Br2 0.019 0.286 0.459 x8
Br3 0.197 0.441 0.839 x8



This entry pairs a crystal structure of Tl4InBr6 with its simulated powder X-ray diffraction pattern. Radiation: copper Kα. Structure: a crystal structure in Alexandria, relaxed with PBE.

Top 12 peaks for 10 to 80 degrees two-theta, most intense first:
| hkl | d [Å] | Position (°2θ) | I/Imax |
| --- | --- | --- | --- |
| 2 1 2 | 3.056 | 29.22 | 100.0 |
| 3 1 0 | 2.852 | 31.37 | 42.7 |
| 2 1 0 | 4.033 | 22.04 | 19.2 |
| 4 1 2 | 1.982 | 45.79 | 17.6 |
| 3 1 4 | 1.810 | 50.43 | 16.0 |
| 0 0 4 | 2.341 | 38.45 | 13.8 |
| 5 2 2 | 1.577 | 58.54 | 13.3 |
| 0 0 2 | 4.682 | 18.95 | 11.1 |
| 2 1 6 | 1.456 | 63.96 | 10.9 |
| 4 2 0 | 2.017 | 44.95 | 8.3 |
| 3 3 0 | 2.126 | 42.52 | 7.6 |
| 2 2 0 | 3.188 | 27.98 | 7.5 |

Structural model:
Lattice parameters (Å, degrees): 9.018 9.018 9.365 90.00 90.00 90.00
Space group P4/mnc (No. 128)
Symmetry-distinct sites (fractional):
Tl1 0.161 0.339 0.250 x8
In1 0.000 0.000 0.000 x2
Br1 0.000 0.000 0.305 x4
Br2 0.126 0.690 0.000 x8



What did the first record say?
This entry pairs a crystal structure of Tl3InBr7 with its simulated powder X-ray diffraction pattern. Radiation: copper Kα. Structure: a crystal structure in Alexandria, relaxed with PBE.

Top 12 peaks for 10 to 80 degrees two-theta, most intense first:
| hkl | d [Å] | Position (°2θ) | I/Imax |
| --- | --- | --- | --- |
| 0 2 1 | 4.693 | 18.91 | 100.0 |
| 0 2 4 | 2.656 | 33.74 | 40.2 |
| 1 2 2 | 3.263 | 27.33 | 40.1 |
| 2 2 0 | 2.924 | 30.57 | 36.0 |
| 2 3 2 | 2.178 | 41.46 | 22.0 |
| 2 0 5 | 2.239 | 40.28 | 19.5 |
| 0 3 3 | 2.622 | 34.20 | 18.0 |
| 3 3 0 | 1.951 | 46.56 | 16.8 |
| 1 0 1 | 7.865 | 11.25 | 15.5 |
| 0 1 2 | 5.313 | 16.69 | 15.2 |
| 5 0 2 | 1.927 | 47.17 | 13.8 |
| 2 2 3 | 2.392 | 37.60 | 12.2 |

Structural model:
Lattice parameters (Å, degrees): 11.6963 11.6963 12.4803 90.00 90.00 120.00
Space group R3m (No. 160, hexagonal axes)
Symmetry-distinct sites (fractional):
Tl1 0.1903 0.3806 0.0000 x9
In1 0.0000 0.0000 0.6929 x3
Br1 0.0000 0.0000 0.4859 x3
Br2 0.0792 0.5396 0.8931 x9
Br3 0.0938 0.5469 0.4222 x9